# 1
MnBe6Rh5: calculated PXRD pattern (Cu Ka), based on a structure optimized by DFT (GGA-PBE).
No peak broadening, texture or thermal motion is included.

The 10 most intense peaks (2θ = 15–90°), low angle first:
d_spacing  Rel. int.
2.808  53.6
2.774  100.0
1.974  93.4
1.965  23.8
1.959  20.9
1.610  19.9
1.607  17.2
1.253  16.1
1.244  14.4
1.136  15.1

abc: 6.8027 6.8027 6.8027
angles: 146.43 131.24 60.50
Positions (direct):
Mn (0.0000, 0.0000, 0.0000)
Be (0.0900, 0.8251, 0.2650)
Be (0.2790, 0.5000, 0.7790)
Be (0.4399, 0.1749, 0.2650)
Be (0.5601, 0.8251, 0.7350)
Be (0.7210, 0.5000, 0.2210)
Be (0.9100, 0.1749, 0.7350)
Rh (0.1518, 0.6518, 0.5000)
Rh (0.3299, 0.3299, 0.0000)
Rh (0.5000, 0.0000, 0.5000)
Rh (0.6701, 0.6701, 0.0000)
Rh (0.8482, 0.3482, 0.5000)

=====

# 2
TlIn9Bi2: calculated PXRD pattern (Cu Ka), based on a structure optimized by DFT (GGA-PBE).
No peak broadening, texture or thermal motion is included.

The 10 most intense peaks (2θ = 15–90°), low angle first:
d_spacing  Rel. int.
2.796  100.0
2.526  37.9
2.246  13.4
1.786  13.3
1.678  21.5
1.505  30.1
1.398  11.6
1.381  11.0
1.151  6.4
1.092  11.0

abc: 5.0523 5.0523 13.4746
angles: 90.00 90.00 90.00
Positions (direct):
Tl (0.0000, 0.0000, 0.0000)
In (0.0000, 0.5000, 0.1644)
In (0.0000, 0.5000, 0.5000)
In (0.0000, 0.5000, 0.8356)
In (0.5000, 0.0000, 0.1644)
In (0.5000, 0.0000, 0.5000)
In (0.5000, 0.0000, 0.8356)
In (0.5000, 0.5000, 0.0000)
In (0.5000, 0.5000, 0.3310)
In (0.5000, 0.5000, 0.6690)
Bi (0.0000, 0.0000, 0.3288)
Bi (0.0000, 0.0000, 0.6712)

=====

# 3
CoTe2Cl: calculated PXRD pattern (Cu Ka), based on a structure optimized by DFT (GGA-PBE).
No peak broadening, texture or thermal motion is included.

The 10 most intense peaks (2θ = 15–90°), low angle first:
d_spacing  Rel. int.
3.381  19.8
3.118  49.0
3.107  100.0
2.649  21.4
2.584  37.6
2.572  42.9
2.568  32.1
1.953  44.2
1.948  21.9
1.555  20.2

abc: 3.8962 3.9066 7.9463
angles: 90.24 90.10 119.91
Positions (direct):
Co (0.0000, 0.0000, 0.0000)
Te (0.3305, 0.6622, 0.8247)
Te (0.6688, 0.3366, 0.1302)
Cl (0.6723, 0.3390, 0.4391)

=====

# 4
Ag6SeICl2: calculated PXRD pattern (Cu Ka), based on a structure optimized by DFT (GGA-PBE).
No peak broadening, texture or thermal motion is included.

The 10 most intense peaks (2θ = 15–90°), low angle first:
d_spacing  Rel. int.
5.609  37.9
4.589  100.0
3.155  42.0
2.741  42.5
2.659  39.6
2.443  63.8
2.294  96.8
2.232  27.9
2.084  93.1
1.285  28.7

abc: 6.9987 6.9987 7.1632
angles: 111.72 111.72 51.11
Positions (direct):
Ag (0.1195, 0.6218, 0.6293)
Ag (0.2767, 0.2767, 0.2191)
Ag (0.3782, 0.8805, 0.3707)
Ag (0.6218, 0.1195, 0.6293)
Ag (0.7233, 0.7233, 0.7809)
Ag (0.8805, 0.3782, 0.3707)
Se (0.5000, 0.5000, 0.5000)
I (0.0000, 0.0000, 0.0000)
Cl (0.2621, 0.2621, 0.8442)
Cl (0.7379, 0.7379, 0.1558)

=====

# 5
HoPa3Tl4O12: calculated PXRD pattern (Cu Ka), based on a structure optimized by DFT (GGA-PBE).
No peak broadening, texture or thermal motion is included.

The 9 most intense peaks (2θ = 15–90°), low angle first:
d_spacing  Rel. int.
4.403  0.6
3.113  100.0
2.201  26.4
1.798  43.1
1.557  17.5
1.392  19.1
1.271  5.9
1.177  22.7
1.101  2.9

abc: 7.6262 7.6262 7.6262
angles: 109.47 109.47 109.47
Positions (direct):
Ho (0.0000, 0.0000, 0.0000)
Pa (0.0000, 0.5000, 0.5000)
Pa (0.5000, 0.0000, 0.5000)
Pa (0.5000, 0.5000, 0.0000)
Tl (0.0000, 0.0000, 0.5000)
Tl (0.0000, 0.5000, 0.0000)
Tl (0.5000, 0.0000, 0.0000)
Tl (0.5000, 0.5000, 0.5000)
O (0.0000, 0.2578, 0.2578)
O (0.0000, 0.7422, 0.7422)
O (0.2500, 0.5000, 0.7500)
O (0.2500, 0.7500, 0.5000)
O (0.2578, 0.0000, 0.2578)
O (0.2578, 0.2578, 0.0000)
O (0.5000, 0.2500, 0.7500)
O (0.5000, 0.7500, 0.2500)
O (0.7422, 0.0000, 0.7422)
O (0.7422, 0.7422, 0.0000)
O (0.7500, 0.2500, 0.5000)
O (0.7500, 0.5000, 0.2500)

=====

# 6
Cs3Hg4Pb2: calculated PXRD pattern (Cu Ka), based on a structure optimized by DFT (GGA-PBE).
No peak broadening, texture or thermal motion is included.

The 10 most intense peaks (2θ = 15–90°), low angle first:
d_spacing  Rel. int.
3.450  35.8
3.396  60.1
3.120  49.5
3.075  40.6
2.796  100.0
2.715  41.8
2.544  58.3
1.955  39.1
1.852  41.2
1.551  32.0

abc: 5.0875 7.4101 11.0409
angles: 99.99 90.05 110.08
Positions (direct):
Cs (0.0000, 0.0000, 0.0000)
Cs (0.3814, 0.7621, 0.6223)
Cs (0.6186, 0.2379, 0.3777)
Hg (0.0903, 0.1793, 0.6385)
Hg (0.2778, 0.5543, 0.9260)
Hg (0.7222, 0.4457, 0.0740)
Hg (0.9097, 0.8207, 0.3615)
Pb (0.3019, 0.6064, 0.2173)
Pb (0.6981, 0.3936, 0.7827)

=====

# 7
HoEr8Sc3: calculated PXRD pattern (Cu Ka), based on a structure optimized by DFT (GGA-PBE).
No peak broadening, texture or thermal motion is included.

The 10 most intense peaks (2θ = 15–90°), low angle first:
d_spacing  Rel. int.
4.308  8.2
3.731  48.9
2.638  100.0
2.154  15.0
1.866  18.0
1.669  20.6
1.523  36.9
1.319  11.3
1.244  9.7
1.180  15.9

abc: 9.1409 9.1409 9.1409
angles: 131.83 131.83 70.50
Positions (direct):
Ho (0.0000, 0.0000, 0.0000)
Er (0.1265, 0.1265, 0.5072)
Er (0.1265, 0.6192, 0.0000)
Er (0.3808, 0.3808, 0.5072)
Er (0.3808, 0.8735, 0.0000)
Er (0.6192, 0.1265, 0.0000)
Er (0.6192, 0.6192, 0.4928)
Er (0.8735, 0.3808, 0.0000)
Er (0.8735, 0.8735, 0.4928)
Sc (0.2500, 0.7500, 0.5000)
Sc (0.5000, 0.5000, 0.0000)
Sc (0.7500, 0.2500, 0.5000)